(1)
Simulated XRD peak list
Compound: LiHgGe
Radiation: copper Kα
Structure: a DFT-relaxed cell (GGA-PBE, Alexandria)
No peak broadening, texture or thermal motion is included.

Principal peaks in the range 15° ≤ 2θ ≤ 90°, by intensity:
2theta	Rel. int.
29.24	100
28.27	97
29.56	97
42.06	81
41.12	78
41.36	77
51.45	76
68.87	50
31.91	43
44.05	35

abc: 6.3135 12.2173 3.0223
angles: 90.00 90.00 90.00
Space group Cmmm (No. 65)
Inequivalent atoms, fractional coordinates:
Li  0.0000  0.1072  0.0000 [4 per cell]
Hg  0.2500  0.2500  0.5000 [4 per cell]
Ge  0.1999  0.5000  0.5000 [4 per cell]

(2)
Simulated XRD peak list
Compound: Tb12Sm2Y
Radiation: copper Kα
Structure: a DFT-relaxed cell (GGA-PBE, Alexandria)
No peak broadening, texture or thermal motion is included.

Principal peaks in the range 15° ≤ 2θ ≤ 90°, by intensity:
2theta	Rel. int.
30.14	100
32.39	80
31.78	74
31.09	46
33.36	38
32.21	36
45.88	27
61.63	22
36.04	21
59.59	20

abc: 7.1225 11.2628 24.5088
angles: 90.00 94.15 90.00
Space group C2/m (No. 12)
Inequivalent atoms, fractional coordinates:
Tb  0.0177  0.2500  0.0735 [8 per cell]
Tb  0.1121  0.2492  0.4447 [8 per cell]
Tb  0.1418  0.5000  0.5736 [4 per cell]
Tb  0.1431  0.0000  0.5725 [4 per cell]
Tb  0.1676  0.2493  0.6699 [8 per cell]
Tb  0.2003  0.2512  0.7994 [8 per cell]
Tb  0.2159  0.0000  0.8628 [4 per cell]
Tb  0.2164  0.5000  0.8644 [4 per cell]
Sm  0.0668  0.5000  0.2722 [4 per cell]
Sm  0.0689  0.0000  0.2724 [4 per cell]
Y  0.2498  0.0000  0.9993 [4 per cell]

(3)
Simulated XRD peak list
Compound: La7Pm4Th
Radiation: copper Kα
Structure: a DFT-relaxed cell (GGA-PBE, Alexandria)
No peak broadening, texture or thermal motion is included.

Principal peaks in the range 15° ≤ 2θ ≤ 90°, by intensity:
2theta	Rel. int.
30.76	100
32.41	80
29.96	71
30.88	49
32.47	40
48.94	36
27.88	36
58.42	32
55.81	23
58.55	21

abc: 6.4550 7.4165 9.2058
angles: 90.12 103.62 90.05
Space group P-1 (No. 2)
Inequivalent atoms, fractional coordinates:
La  0.0000  0.0000  0.0000 [1 per cell]
La  0.2176  0.5000  0.6744 [2 per cell]
La  0.2761  0.2551  0.3281 [2 per cell]
La  0.4984  0.2552  0.9992 [2 per cell]
Pm  0.2225  0.9995  0.6644 [2 per cell]
Pm  0.2728  0.7475  0.3251 [2 per cell]
Th  0.0000  0.5000  0.0000 [1 per cell]